No. 1
# Cs3MgSn2I9
Computed powder diffraction line list, Cu Kα (weighted mean of Kα1 and Kα2). Input: a crystal structure in Alexandria, relaxed with PBE.

```
data_Cs3MgSn2I9
_symmetry_space_group_name_H-M 'P -3 m 1'
_symmetry_Int_Tables_number 164
_symmetry_space_group_name_Hall '-P 3 2"'
_cell_length_a 8.7069
_cell_length_b 8.7069
_cell_length_c 10.6813
_cell_angle_alpha 90.00
_cell_angle_beta 90.00
_cell_angle_gamma 120.00
loop_
_atom_site_label
_atom_site_fract_x
_atom_site_fract_y
_atom_site_fract_z
Cs1 0.0000 0.0000 0.0000
Cs2 0.3333 0.6667 0.6588
Mg1 0.0000 0.0000 0.5000
Sn1 0.3333 0.6667 0.1731
I1 0.0000 0.5000 0.0000
I2 0.1600 0.3199 0.3410
```

Main lines, low angle first (2θ = 15–90°):
d_spacing  2θ (°)  I_rel  index
4.356  20.39  13  1 1 0
3.557  25.04  96  0 2 1
3.080  28.99  100  2 0 2
2.178  41.46  74  2 2 0
1.857  49.05  43  4 0 1
1.778  51.38  26  0 4 2
1.540  60.08  12  4 0 4
1.377  68.07  33  4 2 2
1.258  75.61  18  2 4 4
1.185  81.15  9  6 0 3

***

No. 2
# CsMgTiI6
Computed powder diffraction line list, Cu Kα (weighted mean of Kα1 and Kα2). Input: a crystal structure in Alexandria, relaxed with PBE.

```
data_CsMgTiI6
_symmetry_space_group_name_H-M 'C 1 2 1'
_symmetry_Int_Tables_number 5
_symmetry_space_group_name_Hall 'C 2y'
_cell_length_a 7.509
_cell_length_b 12.997
_cell_length_c 8.744
_cell_angle_alpha 90.00
_cell_angle_beta 90.22
_cell_angle_gamma 90.00
loop_
_atom_site_label
_atom_site_fract_x
_atom_site_fract_y
_atom_site_fract_z
Cs1 0.000 0.000 0.000
Mg1 0.000 0.333 0.500
Ti1 0.000 0.667 0.500
I1 0.126 0.505 0.689
I2 0.179 0.811 0.688
I3 0.194 0.183 0.687
```

Main lines, low angle first (2θ = 15–90°):
d_spacing  2θ (°)  I_rel  index
5.217  17.00  33  0 2 1
3.449  25.83  100  2 0 1
3.250  27.44  13  2 2 0
2.915  30.67  17  0 0 3
2.854  31.34  22  2 0 -2
2.845  31.45  44  1 3 2
2.366  38.04  16  3 1 -1
2.167  41.68  30  0 6 0
1.891  48.13  12  1 3 -4
1.766  51.77  13  3 5 -1